The following is a simulated powder diffractogram of BaAu2Br6. It was derived from a PBE-relaxed structure, using Cu Kα X-rays.

Main lines, low angle first (2θ = 10–90°):
2θ 10.2, rel. 31; 2θ 11.2, rel. 45; 2θ 18.4, rel. 48; 2θ 21.3, rel. 32; 2θ 23.5, rel. 41; 2θ 25.6, rel. 100; 2θ 26.3, rel. 39; 2θ 34.1, rel. 36; 2θ 41.8, rel. 46; 2θ 49.3, rel. 33

Atomic structure:
abc: 10.1599 10.1599 7.5774
angles: 111.52 111.52 101.85
Element x y z (fractional)
Ba: 0.1335 0.8665 0.7500
Ba: 0.8665 0.1335 0.2500
Au: 0.2784 0.4377 0.8762
Au: 0.4377 0.2784 0.3762
Au: 0.5623 0.7216 0.6238
Au: 0.7216 0.5623 0.1238
Br: 0.0538 0.1854 0.7657
Br: 0.0865 0.5585 0.8104
Br: 0.1854 0.0538 0.2657
Br: 0.3014 0.4585 0.4167
Br: 0.4415 0.9135 0.6896
Br: 0.4585 0.3014 0.9167
Br: 0.5415 0.6986 0.0833
Br: 0.5585 0.0865 0.3104
Br: 0.6986 0.5415 0.5833
Br: 0.8146 0.9462 0.7343
Br: 0.9135 0.4415 0.1896
Br: 0.9462 0.8146 0.2343